# 1
Diffraction record for Ba2CaMg12Cd3. The powder X-ray diffraction pattern is calculated, not measured: it uses a GGA-PBE-relaxed structure and Cu Ka.
Intensities are scaled so that the largest is 100.

Atomic structure:
Unit cell a=9.9195 b=9.9195 c=9.9195 alpha=53.46 beta=53.46 gamma=53.46
Positions (direct):
Ba1 0.0862 0.0862 0.0862
Ba2 0.9138 0.9138 0.9138
Ca1 0.5000 0.5000 0.5000
Mg1 0.0384 0.6692 0.6692
Mg2 0.2831 0.2831 0.6289
Mg3 0.2831 0.6289 0.2831
Mg4 0.3308 0.3308 0.9616
Mg5 0.3308 0.9616 0.3308
Mg6 0.3711 0.7169 0.7169
Mg7 0.6289 0.2831 0.2831
Mg8 0.6692 0.0384 0.6692
Mg9 0.6692 0.6692 0.0384
Mg10 0.7169 0.3711 0.7169
Mg11 0.7169 0.7169 0.3711
Mg12 0.9616 0.3308 0.3308
Cd1 0.0000 0.5000 0.5000
Cd2 0.5000 0.0000 0.5000
Cd3 0.5000 0.5000 0.0000

The 10 most intense peaks (10 to 90 degrees two-theta), low angle first:
- d 8.477, 2θ = 10.44°, I = 29
- d 4.910, 2θ = 18.07°, I = 31
- d 4.248, 2θ = 20.91°, I = 20
- d 3.820, 2θ = 23.29°, I = 100
- d 3.697, 2θ = 24.07°, I = 43
- d 3.288, 2θ = 27.12°, I = 39
- d 3.073, 2θ = 29.06°, I = 36
- d 2.533, 2θ = 35.44°, I = 45
- d 2.276, 2θ = 39.59°, I = 25
- d 2.231, 2θ = 40.44°, I = 34

# 2
Diffraction record for Na2Hg2IrO6. The powder X-ray diffraction pattern is calculated, not measured: it uses a GGA-PBE-relaxed structure and Cu Ka.
Intensities are scaled so that the largest is 100.

Atomic structure:
Unit cell a=5.8959 b=5.8959 c=5.9814 alpha=90.86 beta=90.86 gamma=119.91
Positions (direct):
Na1 0.1613 0.8387 0.0000
Na2 0.8387 0.1613 0.0000
Hg1 0.3492 0.6508 0.5000
Hg2 0.6508 0.3492 0.5000
Ir1 0.5000 0.5000 0.0000
O1 0.2168 0.5015 0.8105
O2 0.2418 0.2418 0.1791
O3 0.4985 0.7832 0.1895
O4 0.5015 0.2168 0.8105
O5 0.7582 0.7582 0.8209
O6 0.7832 0.4985 0.1895

The 10 most intense peaks (10 to 90 degrees two-theta), low angle first:
- d 5.109, 2θ = 17.36°, I = 100
- d 3.882, 2θ = 22.91°, I = 27
- d 2.989, 2θ = 29.89°, I = 24
- d 2.950, 2θ = 30.30°, I = 31
- d 2.660, 2θ = 33.70°, I = 31
- d 2.628, 2θ = 34.12°, I = 50
- d 2.611, 2θ = 34.35°, I = 18
- d 2.551, 2θ = 35.18°, I = 16
- d 2.347, 2θ = 38.35°, I = 17
- d 2.132, 2θ = 42.39°, I = 15